[1]
Structure and calculated powder XRD pattern of ScAl2Te4 (a crystal structure in Alexandria, relaxed with PBE; λ = 1.5418 Å (Cu Kα)).

The 8 most intense peaks (10° ≤ 2θ ≤ 80°), by intensity:
| (hkl) | d/Å | two_theta | intensity |
| --- | --- | --- | --- |
| 1 1 1 | 3.587 | 24.82 | 100 |
| 2 0 2 | 2.227 | 40.51 | 37 |
| 3 1 1 | 1.838 | 49.60 | 27 |
| 2 0 0 | 3.026 | 29.52 | 19 |
| 1 1 3 | 1.951 | 46.54 | 18 |
| 2 2 0 | 2.140 | 42.23 | 16 |
| 0 0 2 | 3.289 | 27.11 | 12 |
| 3 1 3 | 1.442 | 64.64 | 12 |

Structure:
```
data_ScAl2Te4
_symmetry_space_group_name_H-M 'P -4 2 m'
_symmetry_Int_Tables_number 111
_symmetry_space_group_name_Hall 'P -4 2'
_cell_length_a 6.053
_cell_length_b 6.053
_cell_length_c 6.577
_cell_angle_alpha 90.00
_cell_angle_beta 90.00
_cell_angle_gamma 90.00
loop_
_atom_site_label
_atom_site_fract_x
_atom_site_fract_y
_atom_site_fract_z
_atom_site_occupancy
Sc1 0.000 0.000 0.000 1
Al1 0.000 0.500 0.500 1
Te1 0.268 0.268 0.251 1
```

=====

[2]
Structure and calculated powder XRD pattern of ScAlTe3 (a crystal structure in Alexandria, relaxed with PBE; λ = 1.5418 Å (Cu Kα)).

The 8 most intense peaks (10° ≤ 2θ ≤ 80°), by intensity:
| (hkl) | d/Å | two_theta | intensity |
| --- | --- | --- | --- |
| 1 3 1 | 3.279 | 27.20 | 100 |
| 0 7 1 | 3.141 | 28.42 | 31 |
| 0 0 2 | 3.473 | 25.65 | 27 |
| 1 10 0 | 2.122 | 42.60 | 26 |
| 1 3 3 | 1.966 | 46.18 | 24 |
| 0 6 2 | 2.652 | 33.79 | 20 |
| 1 4 2 | 2.449 | 36.69 | 18 |
| 0 0 4 | 1.737 | 52.69 | 16 |

Structure:
```
data_ScAlTe3
_symmetry_space_group_name_H-M 'A m a 2'
_symmetry_Int_Tables_number 40
_symmetry_space_group_name_Hall 'A 2 -2a'
_cell_length_a 4.172
_cell_length_b 24.648
_cell_length_c 6.947
_cell_angle_alpha 90.00
_cell_angle_beta 90.00
_cell_angle_gamma 90.00
loop_
_atom_site_label
_atom_site_fract_x
_atom_site_fract_y
_atom_site_fract_z
_atom_site_occupancy
Sc1 0.250 0.174 0.000 1
Al1 0.250 0.368 0.914 1
Te1 0.250 0.080 0.263 1
Te2 0.250 0.272 0.740 1
Te3 0.250 0.380 0.287 1
```

=====

[3]
Structure and calculated powder XRD pattern of ThSc3Al8 (a crystal structure in Alexandria, relaxed with PBE; λ = 1.5418 Å (Cu Kα)).

The 8 most intense peaks (10° ≤ 2θ ≤ 80°), by intensity:
| (hkl) | d/Å | two_theta | intensity |
| --- | --- | --- | --- |
| 2 0 2 | 2.325 | 38.72 | 100 |
| 0 1 8 | 2.738 | 32.71 | 46 |
| 1 1 0 | 2.723 | 32.90 | 46 |
| 0 1 2 | 4.450 | 19.95 | 44 |
| 1 0 1 | 4.645 | 19.11 | 41 |
| 1 0 10 | 2.336 | 38.53 | 34 |
| 1 0 4 | 3.861 | 23.04 | 27 |
| 0 1 5 | 3.546 | 25.11 | 24 |

Structure:
```
data_ThSc3Al8
_symmetry_space_group_name_H-M 'R 3 m'
_symmetry_Int_Tables_number 160
_symmetry_space_group_name_Hall 'R 3 -2"'
_cell_length_a 5.4452
_cell_length_b 5.4452
_cell_length_c 26.8967
_cell_angle_alpha 90.00
_cell_angle_beta 90.00
_cell_angle_gamma 120.00
loop_
_atom_site_label
_atom_site_fract_x
_atom_site_fract_y
_atom_site_fract_z
_atom_site_occupancy
Th1 0.0000 0.0000 0.0000 1
Sc1 0.0000 0.0000 0.1267 1
Sc2 0.0000 0.0000 0.5008 1
Sc3 0.0000 0.0000 0.6221 1
Al1 0.0000 0.0000 0.3118 1
Al2 0.0000 0.0000 0.8136 1
Al3 0.0018 0.5009 0.0656 1
Al4 0.1675 0.3350 0.8940 1
```

=====

[4]
Structure and calculated powder XRD pattern of ThSc3Al8 (a crystal structure in Alexandria, relaxed with PBE; λ = 1.5418 Å (Cu Kα)).

The 8 most intense peaks (10° ≤ 2θ ≤ 80°), by intensity:
| (hkl) | d/Å | two_theta | intensity |
| --- | --- | --- | --- |
| 0 1 3 | 2.531 | 35.47 | 100 |
| 0 1 1 | 4.170 | 21.31 | 92 |
| 1 1 2 | 2.326 | 38.71 | 83 |
| 1 0 0 | 4.705 | 18.86 | 61 |
| 1 1 0 | 2.716 | 32.98 | 61 |
| 0 1 2 | 3.253 | 27.41 | 57 |
| 2 0 1 | 2.276 | 39.60 | 56 |
| 1 2 3 | 1.530 | 60.51 | 40 |

Structure:
```
data_ThSc3Al8
_symmetry_space_group_name_H-M 'P 3 m 1'
_symmetry_Int_Tables_number 156
_symmetry_space_group_name_Hall 'P 3 -2"'
_cell_length_a 5.4324
_cell_length_b 5.4324
_cell_length_c 9.0081
_cell_angle_alpha 90.00
_cell_angle_beta 90.00
_cell_angle_gamma 120.00
loop_
_atom_site_label
_atom_site_fract_x
_atom_site_fract_y
_atom_site_fract_z
_atom_site_occupancy
Th1 0.0000 0.0000 0.0000 1
Sc1 0.0000 0.0000 0.3696 1
Sc2 0.6667 0.3333 0.5012 1
Sc3 0.6667 0.3333 0.8598 1
Al1 0.1624 0.3248 0.6792 1
Al2 0.3333 0.6667 0.4398 1
Al3 0.3333 0.6667 0.9310 1
Al4 0.5038 0.0076 0.1944 1
```

=====

[5]
Structure and calculated powder XRD pattern of ScTi2Al (a crystal structure in Alexandria, relaxed with PBE; λ = 1.5418 Å (Cu Kα)).

The 8 most intense peaks (10° ≤ 2θ ≤ 80°), by intensity:
| (hkl) | d/Å | two_theta | intensity |
| --- | --- | --- | --- |
| 1 0 2 | 2.416 | 37.22 | 100 |
| 1 1 0 | 2.081 | 43.49 | 33 |
| 2 1 2 | 1.257 | 75.69 | 21 |
| 1 1 4 | 1.483 | 62.62 | 17 |
| 0 0 4 | 2.115 | 42.74 | 14 |
| 2 0 0 | 1.471 | 63.20 | 10 |
| 2 0 4 | 1.208 | 79.31 | 9 |
| 1 0 6 | 1.272 | 74.63 | 7 |

Structure:
```
data_ScTi2Al
_symmetry_space_group_name_H-M 'P 4/m m m'
_symmetry_Int_Tables_number 123
_symmetry_space_group_name_Hall '-P 4 2'
_cell_length_a 2.943
_cell_length_b 2.943
_cell_length_c 8.462
_cell_angle_alpha 90.00
_cell_angle_beta 90.00
_cell_angle_gamma 90.00
loop_
_atom_site_label
_atom_site_fract_x
_atom_site_fract_y
_atom_site_fract_z
_atom_site_occupancy
Sc1 0.000 0.000 0.000 1
Ti1 0.500 0.500 0.273 1
Al1 0.000 0.000 0.500 1
```

=====

[6]
Structure and calculated powder XRD pattern of Sc4AlTl3 (a crystal structure in Alexandria, relaxed with PBE; λ = 1.5418 Å (Cu Kα)).

The 8 most intense peaks (10° ≤ 2θ ≤ 80°), by intensity:
| (hkl) | d/Å | two_theta | intensity |
| --- | --- | --- | --- |
| 1 0 4 | 2.528 | 35.52 | 100 |
| 1 1 0 | 2.485 | 36.14 | 50 |
| 1 0 0 | 3.515 | 25.34 | 37 |
| 2 1 4 | 1.443 | 64.59 | 35 |
| 0 0 4 | 3.638 | 24.47 | 20 |
| 1 1 4 | 2.052 | 44.13 | 18 |
| 2 0 0 | 1.757 | 52.04 | 17 |
| 1 1 8 | 1.468 | 63.37 | 16 |

Structure:
```
data_Sc4AlTl3
_symmetry_space_group_name_H-M 'P 4/m m m'
_symmetry_Int_Tables_number 123
_symmetry_space_group_name_Hall '-P 4 2'
_cell_length_a 3.515
_cell_length_b 3.515
_cell_length_c 14.551
_cell_angle_alpha 90.00
_cell_angle_beta 90.00
_cell_angle_gamma 90.00
loop_
_atom_site_label
_atom_site_fract_x
_atom_site_fract_y
_atom_site_fract_z
_atom_site_occupancy
Sc1 0.000 0.000 0.112 1
Sc2 0.000 0.000 0.369 1
Al1 0.500 0.500 0.000 1
Tl1 0.500 0.500 0.241 1
Tl2 0.500 0.500 0.500 1
```

=====

[7]
Structure and calculated powder XRD pattern of Sc4AlTl (a crystal structure in Alexandria, relaxed with PBE; λ = 1.5418 Å (Cu Kα)).

The 8 most intense peaks (10° ≤ 2θ ≤ 80°), by intensity:
| (hkl) | d/Å | two_theta | intensity |
| --- | --- | --- | --- |
| 1 1 2 | 2.321 | 38.79 | 100 |
| 0 0 1 | 8.328 | 10.62 | 96 |
| 1 0 1 | 3.078 | 29.01 | 67 |
| 0 1 3 | 2.450 | 36.67 | 61 |
| 0 1 1 | 4.419 | 20.09 | 55 |
| 0 2 0 | 2.607 | 34.40 | 43 |
| 0 1 0 | 5.214 | 17.01 | 42 |
| 1 2 1 | 1.989 | 45.60 | 38 |

Structure:
```
data_Sc4AlTl
_symmetry_space_group_name_H-M 'P m m m'
_symmetry_Int_Tables_number 47
_symmetry_space_group_name_Hall '-P 2 2'
_cell_length_a 3.313
_cell_length_b 5.214
_cell_length_c 8.328
_cell_angle_alpha 90.00
_cell_angle_beta 90.00
_cell_angle_gamma 90.00
loop_
_atom_site_label
_atom_site_fract_x
_atom_site_fract_y
_atom_site_fract_z
_atom_site_occupancy
Sc1 0.000 0.000 0.185 1
Sc2 0.500 0.500 0.291 1
Al1 0.000 0.500 0.000 1
Tl1 0.500 0.000 0.500 1
```

=====

[8]
Structure and calculated powder XRD pattern of Sc4Al2Tl (a crystal structure in Alexandria, relaxed with PBE; λ = 1.5418 Å (Cu Kα)).

The 8 most intense peaks (10° ≤ 2θ ≤ 80°), by intensity:
| (hkl) | d/Å | two_theta | intensity |
| --- | --- | --- | --- |
| 1 1 0 | 2.423 | 37.10 | 100 |
| 0 0 3 | 7.823 | 11.31 | 91 |
| 0 1 8 | 2.404 | 37.40 | 89 |
| 1 0 1 | 4.131 | 21.51 | 78 |
| 0 1 5 | 3.129 | 28.53 | 57 |
| 1 0 7 | 2.619 | 34.23 | 44 |
| 0 1 2 | 3.952 | 22.50 | 42 |
| 1 2 8 | 1.395 | 67.08 | 30 |

Structure:
```
data_Sc4Al2Tl
_symmetry_space_group_name_H-M 'R -3 m'
_symmetry_Int_Tables_number 166
_symmetry_space_group_name_Hall '-R 3 2"'
_cell_length_a 4.8462
_cell_length_b 4.8462
_cell_length_c 23.4677
_cell_angle_alpha 90.00
_cell_angle_beta 90.00
_cell_angle_gamma 120.00
loop_
_atom_site_label
_atom_site_fract_x
_atom_site_fract_y
_atom_site_fract_z
_atom_site_occupancy
Sc1 0.0000 0.0000 0.1132 1
Sc2 0.0000 0.0000 0.3686 1
Al1 0.0000 0.0000 0.2492 1
Tl1 0.0000 0.0000 0.5000 1
```